Diffraction record for CsLi2V2O7. The powder XRD pattern is computed, not measured: it uses the PBE+U geometry in Alexandria and Cu Kα, 1.54184 Å.
Lines closer than 0.1° are merged.

Principal peaks in the range 10 to 80 degrees two-theta, by angle:
h k l, 2θ/deg, I_rel
0 0 3, 10.56, 45
0 1 2, 18.53, 100
0 1 5, 24.68, 59
1 1 0, 29.88, 45
1 0 7, 30.28, 53
2 0 2, 35.39, 36

Structural model:
Cell lengths 5.9807, 5.9807, 25.1438 Å; angles 90.00, 90.00, 120.00 degrees
Space group R32 (No. 155, hexagonal axes)
One atom of each set of equivalent atoms:
Cs 0.0000 0.0000 0.0000 (multiplicity 3)
Li 0.0000 0.0000 0.2585 (multiplicity 6)
V 0.0000 0.0000 0.4280 (multiplicity 6)
O 0.0000 0.0000 0.5000 (multiplicity 3)
O 0.0259 0.4819 0.0704 (multiplicity 18)